Record 1
# Rb2BaOs2O7
Simulated powder diffraction line list, Cu Kα, 1.54184 Å. Input: the GGA-PBE geometry in OQMD.
Kinematic intensities with the Lorentz-polarization factor, no thermal factor.

Crystal structure
Unit cell a=11.458 b=11.458 c=11.458 alpha=160.10 beta=160.10 gamma=28.30
Sites, in units of the cell vectors:
Rb 0.192 0.192 0.000
Rb 0.808 0.808 0.000
Ba 0.000 0.000 0.000
Os 0.406 0.406 0.000
Os 0.594 0.594 0.000
O 0.090 0.590 0.500
O 0.322 0.322 0.000
O 0.410 0.910 0.500
O 0.500 0.500 0.000
O 0.590 0.090 0.500
O 0.678 0.678 0.000
O 0.910 0.410 0.500

Main lines, sorted by position (5° ≤ 2θ ≤ 70°):
2theta	I_rel
7.96	38.4
30.23	100.0
31.96	48.8
45.82	25.3
52.58	20.2
55.88	36.4


Record 2
# Ba3SnOs4O15
Simulated powder diffraction line list, Cu Kα, 1.54184 Å. Input: the GGA-PBE geometry in OQMD.
Kinematic intensities with the Lorentz-polarization factor, no thermal factor.

Crystal structure
Unit cell a=12.540 b=12.540 c=3.877 alpha=90.00 beta=90.00 gamma=90.00
Sites, in units of the cell vectors:
Ba 0.000 0.000 0.000
Ba 0.170 0.330 0.000
Ba 0.330 0.830 0.000
Ba 0.500 0.500 0.000
Ba 0.670 0.170 0.000
Ba 0.830 0.670 0.000
Sn 0.000 0.500 0.500
Sn 0.500 0.000 0.500
Os 0.073 0.786 0.500
Os 0.214 0.073 0.500
Os 0.286 0.573 0.500
Os 0.427 0.286 0.500
Os 0.573 0.714 0.500
Os 0.714 0.427 0.500
Os 0.786 0.927 0.500
Os 0.927 0.214 0.500
O 0.000 0.500 0.000
O 0.018 0.337 0.500
O 0.067 0.142 0.500
O 0.077 0.789 0.000
O 0.142 0.933 0.500
O 0.163 0.482 0.500
O 0.206 0.706 0.500
O 0.211 0.077 0.000
O 0.289 0.577 0.000
O 0.294 0.206 0.500
O 0.337 0.982 0.500
O 0.358 0.433 0.500
O 0.423 0.289 0.000
O 0.433 0.642 0.500
O 0.482 0.837 0.500
O 0.500 0.000 0.000
O 0.518 0.163 0.500
O 0.567 0.358 0.500
O 0.577 0.711 0.000
O 0.642 0.567 0.500
O 0.663 0.018 0.500
O 0.706 0.794 0.500
O 0.711 0.423 0.000
O 0.789 0.923 0.000
O 0.794 0.294 0.500
O 0.837 0.518 0.500
O 0.858 0.067 0.500
O 0.923 0.211 0.000
O 0.933 0.858 0.500
O 0.982 0.663 0.500

Main lines, sorted by position (5° ≤ 2θ ≤ 70°):
2theta	I_rel
25.61	54.8
27.98	77.9
29.37	98.4
30.63	48.4
31.92	47.5
32.29	100.0


Record 3
# Ba4ZrOs3O12
Simulated powder diffraction line list, Cu Kα, 1.54184 Å. Input: the GGA-PBE geometry in OQMD.
Kinematic intensities with the Lorentz-polarization factor, no thermal factor.

Crystal structure
Unit cell a=10.320 b=10.320 c=10.320 alpha=32.70 beta=32.70 gamma=32.70
Sites, in units of the cell vectors:
Ba 0.129 0.129 0.129
Ba 0.286 0.286 0.286
Ba 0.714 0.714 0.714
Ba 0.871 0.871 0.871
Zr 0.000 0.000 0.000
Os 0.412 0.412 0.412
Os 0.500 0.500 0.500
Os 0.588 0.588 0.588
O 0.140 0.614 0.614
O 0.211 0.211 0.699
O 0.211 0.699 0.211
O 0.301 0.789 0.789
O 0.386 0.386 0.860
O 0.386 0.860 0.386
O 0.614 0.140 0.614
O 0.614 0.614 0.140
O 0.699 0.211 0.211
O 0.789 0.301 0.789
O 0.789 0.789 0.301
O 0.860 0.386 0.386

Main lines, sorted by position (5° ≤ 2θ ≤ 70°):
2theta	I_rel
17.89	28.8
27.74	40.1
30.78	100.0
41.91	23.0
54.73	24.7
64.11	22.4


Record 4
# Ba2PrPO6
Simulated powder diffraction line list, Cu Kα, 1.54184 Å. Input: the GGA-PBE geometry in OQMD.
Kinematic intensities with the Lorentz-polarization factor, no thermal factor.

Crystal structure
Unit cell a=5.792 b=5.792 c=8.190 alpha=90.00 beta=90.00 gamma=90.00
Sites, in units of the cell vectors:
Ba 0.000 0.500 0.250
Ba 0.000 0.500 0.750
Ba 0.500 0.000 0.250
Ba 0.500 0.000 0.750
Pr 0.000 0.000 0.000
Pr 0.500 0.500 0.500
P 0.000 0.000 0.500
P 0.500 0.500 0.000
O 0.000 0.000 0.286
O 0.000 0.000 0.714
O 0.213 0.215 0.500
O 0.215 0.787 0.500
O 0.285 0.287 0.000
O 0.287 0.715 0.000
O 0.500 0.500 0.214
O 0.500 0.500 0.786
O 0.713 0.285 0.000
O 0.715 0.713 0.000
O 0.785 0.213 0.500
O 0.787 0.785 0.500

Main lines, sorted by position (5° ≤ 2θ ≤ 70°):
2theta	I_rel
18.77	9.4
30.88	100.0
36.38	10.6
44.24	29.3
54.92	37.4
64.34	17.4